# 1
# Tl3Ag3As2S6
Simulated powder diffraction line list, Cu Kα. Input: a DFT-relaxed cell (GGA-PBE, the Materials Project).

Most intense lines, 5 to 70 degrees two-theta, low angle first:
two_theta	I (rel.)	hkl
22.52	38.5	0 2 2
22.93	36.8	2 2 -2
23.79	39.3	0 3 1
24.04	68.4	1 3 0
27.26	100.0	3 0 0
28.05	43.1	3 2 -2
29.59	62.1	0 2 3
30.30	61.3	3 2 -3
32.11	46.3	1 1 3
33.21	40.5	4 1 -3

Atomic structure:
Cell lengths 11.3636, 12.0096, 12.1278 Å; angles 90.00, 120.25, 90.00 degrees
Atoms (fractional coordinates):
1 Tl 0.1618 0.2473 0.2267
2 Tl 0.1618 0.2527 0.7267
3 Tl 0.1998 0.5149 0.4766
4 Tl 0.1998 0.9851 0.9766
5 Tl 0.2162 0.6161 0.1131
6 Tl 0.2162 0.8839 0.6131
7 Tl 0.7838 0.1161 0.3869
8 Tl 0.7838 0.3839 0.8869
9 Tl 0.8002 0.0149 0.0234
10 Tl 0.8002 0.4851 0.5234
11 Tl 0.8382 0.7473 0.2733
12 Tl 0.8382 0.7527 0.7733
13 Ag 0.1144 0.1530 0.4288
14 Ag 0.1144 0.3470 0.9288
15 Ag 0.4671 0.6254 0.0459
16 Ag 0.4671 0.8746 0.5459
17 Ag 0.4704 0.6411 0.4272
18 Ag 0.4704 0.8589 0.9272
19 Ag 0.5296 0.1411 0.0728
20 Ag 0.5296 0.3589 0.5728
21 Ag 0.5329 0.1254 0.4541
22 Ag 0.5329 0.3746 0.9541
23 Ag 0.8856 0.6530 0.0712
24 Ag 0.8856 0.8470 0.5712
25 As 0.1579 0.5969 0.7561
26 As 0.1579 0.9031 0.2561
27 As 0.4938 0.1445 0.7441
28 As 0.4938 0.3555 0.2441
29 As 0.5062 0.6445 0.7559
30 As 0.5062 0.8555 0.2559
31 As 0.8421 0.0969 0.7439
32 As 0.8421 0.4031 0.2439
33 S 0.0054 0.6770 0.5619
34 S 0.0054 0.8230 0.0619
35 S 0.0063 0.5321 0.8124
36 S 0.0063 0.9679 0.3124
37 S 0.2553 0.7446 0.8909
38 S 0.2553 0.7554 0.3909
39 S 0.3631 0.0840 0.5371
40 S 0.3631 0.4160 0.0371
41 S 0.3789 0.0756 0.8399
42 S 0.3789 0.4244 0.3399
43 S 0.4255 0.1752 0.2164
44 S 0.4255 0.3248 0.7164
45 S 0.5745 0.6752 0.2836
46 S 0.5745 0.8248 0.7836
47 S 0.6211 0.5756 0.6601
48 S 0.6211 0.9244 0.1601
49 S 0.6369 0.5840 0.9629
50 S 0.6369 0.9160 0.4629
51 S 0.7447 0.2446 0.6091
52 S 0.7447 0.2554 0.1091
53 S 0.9937 0.0321 0.6876
54 S 0.9937 0.4679 0.1876
55 S 0.9946 0.1770 0.9381
56 S 0.9946 0.3230 0.4381


# 2
# AgAsSe
Simulated powder diffraction line list, Cu Kα. Input: a DFT-relaxed cell (GGA-PBE, the Materials Project).

Most intense lines, 5 to 70 degrees two-theta, low angle first:
two_theta	I (rel.)	hkl
25.63	90.7	3 0 1
26.17	100.0	0 1 1
27.14	17.2	1 1 1
39.07	26.3	2 1 2
42.39	69.9	3 1 2
43.33	22.9	6 0 0
44.68	23.3	0 2 0
51.33	26.4	6 1 1
52.22	24.5	3 2 1
64.00	13.8	6 2 0

Atomic structure:
Cell lengths 12.5287, 4.0564, 6.2661 Å; angles 90.00, 90.00, 90.00 degrees
Atoms (fractional coordinates):
1 Ag 0.1581 0.2500 0.0782
2 Ag 0.3419 0.7500 0.5782
3 Ag 0.6581 0.2500 0.4218
4 Ag 0.8419 0.7500 0.9218
5 As 0.0106 0.2500 0.3713
6 As 0.4894 0.7500 0.8713
7 As 0.5106 0.2500 0.1287
8 As 0.9894 0.7500 0.6287
9 Se 0.1600 0.7500 0.8016
10 Se 0.3400 0.2500 0.3016
11 Se 0.6600 0.7500 0.6984
12 Se 0.8400 0.2500 0.1984


# 3
# SmZnAgAs2
Simulated powder diffraction line list, Cu Kα. Input: a DFT-relaxed cell (GGA-PBE, the Materials Project).

Most intense lines, 5 to 70 degrees two-theta, low angle first:
two_theta	I (rel.)	hkl
27.20	100.0	0 1 1
35.41	97.3	0 1 2
39.03	10.8	0 0 3
42.04	83.8	1 1 0
46.28	33.0	1 0 3
50.79	17.7	2 0 1
56.10	25.2	2 0 2
58.70	19.0	1 1 3
64.29	12.1	0 2 3
67.99	14.6	1 2 1

Atomic structure:
Cell lengths 4.2985, 4.2985, 6.9241 Å; angles 90.00, 90.00, 120.00 degrees
Atoms (fractional coordinates):
1 Sm 0.0000 0.0000 0.0000
2 Zn 0.6667 0.3333 0.3899
3 Ag 0.3333 0.6667 0.6511
4 As 0.3333 0.6667 0.2591
5 As 0.6667 0.3333 0.7737